No. 1
LiTaGeO5: simulated X-ray diffraction stick pattern (Cu Kα X-rays), based on a DFT-relaxed cell (GGA-PBE, the Materials Project).
Neutral-atom scattering factors, no anomalous dispersion.

Largest 10 diffraction maxima, in order of rising 2θ, 10° ≤ 2θ ≤ 80°:
2θ/deg	intensity
17.1	78.6
21.6	36.7
25.6	17.4
25.9	100.0
26.7	60.1
34.9	33.4
35.4	39.6
37.6	43.4
52.5	31.3
66.7	18.5

Structure:
abc: 5.6214 5.6214 7.5682
angles: 109.62 109.62 94.02
Sites, in units of the cell vectors:
Li 0.1917 0.8083 0.5000
Li 0.8083 0.1917 0.0000
Ta 0.4967 0.5060 0.7792
Ta 0.5060 0.4967 0.2792
Ge 0.1418 0.8609 0.0352
Ge 0.8609 0.1418 0.5352
O 0.1977 0.2014 0.1292
O 0.2014 0.1977 0.6292
O 0.2622 0.7364 0.2258
O 0.2665 0.7376 0.8448
O 0.4343 0.5685 0.5300
O 0.5685 0.4343 0.0300
O 0.7364 0.2622 0.7258
O 0.7376 0.2665 0.3448
O 0.8013 0.8037 0.9292
O 0.8037 0.8013 0.4292

No. 2
In3Cu7: simulated X-ray diffraction stick pattern (Cu Kα X-rays), based on a DFT-relaxed cell (GGA-PBE, the Materials Project).
Neutral-atom scattering factors, no anomalous dispersion.

Largest 10 diffraction maxima, in order of rising 2θ, 10° ≤ 2θ ≤ 80°:
2θ/deg	intensity
29.4	11.4
34.4	21.8
41.5	100.0
41.6	30.9
42.0	26.5
42.1	69.1
42.3	32.4
42.5	50.8
43.7	12.0
76.5	10.9

Structure:
abc: 6.7440 9.1727 10.0915
angles: 73.66 83.19 89.97
Sites, in units of the cell vectors:
In 0.0195 0.1371 0.1212
In 0.1184 0.4943 0.1339
In 0.1752 0.6635 0.3957
In 0.2928 0.0284 0.4435
In 0.3581 0.2349 0.6819
In 0.4209 0.7810 0.0177
In 0.5791 0.2190 0.9823
In 0.6419 0.7651 0.3181
In 0.7072 0.9716 0.5565
In 0.8248 0.3365 0.6043
In 0.8816 0.5057 0.8661
In 0.9805 0.8629 0.8788
Cu 0.0285 0.0867 0.6350
Cu 0.0396 0.8071 0.1530
Cu 0.0594 0.7933 0.6336
Cu 0.1627 0.5001 0.6607
Cu 0.1975 0.3560 0.4368
Cu 0.2278 0.3502 0.9161
Cu 0.2576 0.6423 0.8353
Cu 0.2737 0.0506 0.9355
Cu 0.3435 0.9587 0.1966
Cu 0.3471 0.9266 0.7280
Cu 0.3564 0.2599 0.2133
Cu 0.4308 0.7338 0.5862
Cu 0.4689 0.5175 0.2502
Cu 0.5000 0.5000 0.0000
Cu 0.5000 0.5000 0.5000
Cu 0.5311 0.4825 0.7498
Cu 0.5692 0.2662 0.4138
Cu 0.6436 0.7402 0.7867
Cu 0.6529 0.0734 0.2720
Cu 0.6565 0.0413 0.8034
Cu 0.7263 0.9494 0.0645
Cu 0.7424 0.3577 0.1647
Cu 0.7722 0.6498 0.0839
Cu 0.8025 0.6440 0.5632
Cu 0.8373 0.4999 0.3393
Cu 0.9406 0.2067 0.3664
Cu 0.9604 0.1929 0.8470
Cu 0.9715 0.9133 0.3650

No. 3
KTbEuSbO6: simulated X-ray diffraction stick pattern (Cu Kα X-rays), based on a DFT-relaxed cell (GGA-PBE, the Materials Project).
Neutral-atom scattering factors, no anomalous dispersion.

Largest 10 diffraction maxima, in order of rising 2θ, 10° ≤ 2θ ≤ 80°:
2θ/deg	intensity
18.2	14.4
21.0	9.3
29.9	100.0
35.2	9.5
42.8	30.9
46.9	4.7
53.1	40.1
62.1	19.0
70.5	17.6
78.4	6.2

Structure:
abc: 5.9755 5.9755 5.9755
angles: 60.00 60.00 60.00
Sites, in units of the cell vectors:
K 0.0000 0.0000 0.0000
Tb 0.2500 0.2500 0.2500
Eu 0.5000 0.5000 0.5000
Sb 0.7500 0.7500 0.7500
O 0.5125 0.5125 0.9875
O 0.5125 0.9875 0.5125
O 0.5125 0.9875 0.9875
O 0.9875 0.5125 0.5125
O 0.9875 0.5125 0.9875
O 0.9875 0.9875 0.5125

No. 4
Rh3Pb2Se2: simulated X-ray diffraction stick pattern (Cu Kα X-rays), based on a DFT-relaxed cell (GGA-PBE, the Materials Project).
Neutral-atom scattering factors, no anomalous dispersion.

Largest 10 diffraction maxima, in order of rising 2θ, 10° ≤ 2θ ≤ 80°:
2θ/deg	intensity
30.0	63.8
30.7	81.5
36.1	31.0
36.5	39.4
37.7	75.7
43.4	100.0
47.4	24.3
54.1	25.4
63.9	36.9
75.9	28.5

Structure:
abc: 5.9656 5.9656 5.9656
angles: 58.50 58.50 58.50
Sites, in units of the cell vectors:
Rh 0.0000 0.5000 0.5000
Rh 0.5000 0.0000 0.5000
Rh 0.5000 0.5000 0.0000
Pb 0.0000 0.0000 0.0000
Pb 0.5000 0.5000 0.5000
Se 0.2128 0.2128 0.2128
Se 0.7872 0.7872 0.7872

No. 5
Ca2Ta2CuO8: simulated X-ray diffraction stick pattern (Cu Kα X-rays), based on a DFT-relaxed cell (GGA-PBE, the Materials Project).
Neutral-atom scattering factors, no anomalous dispersion.

Largest 10 diffraction maxima, in order of rising 2θ, 10° ≤ 2θ ≤ 80°:
2θ/deg	intensity
13.9	46.4
14.1	50.4
18.8	68.1
30.9	42.9
31.3	100.0
31.5	54.7
32.6	38.9
33.2	53.4
37.4	42.7
59.8	47.3

Structure:
abc: 5.4032 6.7125 9.9993
angles: 108.73 92.85 90.63
Sites, in units of the cell vectors:
Ca 0.2438 0.0422 0.4140
Ca 0.2560 0.6278 0.5835
Ca 0.7440 0.3722 0.4165
Ca 0.7562 0.9578 0.5860
Ta 0.2326 0.4765 0.2306
Ta 0.2665 0.2388 0.7699
Ta 0.7335 0.7612 0.2301
Ta 0.7674 0.5235 0.7694
Cu 0.2510 0.8030 0.0004
Cu 0.7490 0.1970 0.9996
O 0.0243 0.3778 0.6314
O 0.0365 0.2451 0.1204
O 0.0655 0.6983 0.1463
O 0.1675 0.9729 0.6290
O 0.3316 0.3476 0.3713
O 0.4400 0.5379 0.8552
O 0.4560 0.1144 0.8822
O 0.4762 0.7509 0.3697
O 0.5238 0.2491 0.6303
O 0.5440 0.8856 0.1178
O 0.5600 0.4621 0.1448
O 0.6684 0.6524 0.6287
O 0.8325 0.0271 0.3710
O 0.9345 0.3017 0.8537
O 0.9635 0.7549 0.8796
O 0.9757 0.6222 0.3686

No. 6
CoGe: simulated X-ray diffraction stick pattern (Cu Kα X-rays), based on a DFT-relaxed cell (GGA-PBE, the Materials Project).
Neutral-atom scattering factors, no anomalous dispersion.

Largest 10 diffraction maxima, in order of rising 2θ, 10° ≤ 2θ ≤ 80°:
2θ/deg	intensity
14.5	31.3
30.1	35.4
35.0	31.5
40.0	34.6
43.0	32.1
44.0	100.0
44.8	50.6
46.7	24.9
47.2	75.1
47.9	62.9

Structure:
abc: 6.5403 6.5403 4.8403
angles: 101.89 101.89 33.76
Sites, in units of the cell vectors:
Co 0.0000 0.0000 0.0000
Co 0.0297 0.0297 0.4888
Co 0.2405 0.2405 0.3908
Co 0.5657 0.5657 0.7883
Ge 0.1922 0.1922 0.8626
Ge 0.4065 0.4065 0.2173
Ge 0.6226 0.6226 0.2982
Ge 0.8537 0.8537 0.6154